NaAcAlH6: simulated X-ray powder pattern (λ = 1.5418 Å (Cu Kα)), based on the PBE geometry in Alexandria.
Neutral-atom scattering factors, no anomalous dispersion.

Largest 12 diffraction maxima, most intense first, 15° ≤ 2θ ≤ 90°:
two_theta  I (rel.)
25.57  100
26.20  98
21.39  93
29.17  74
18.56  70
34.19  57
17.44  54
41.75  31
51.74  30
35.29  26
48.13  24
45.36  22

```
data_NaAcAlH6
_chemical_formula_sum 'Na1 Ac1 Al1 H6'
_space_group_name_H-M_alt 'P 1'
_space_group_IT_number 1
_space_group_name_Hall 'P 1'
_cell_length_a 4.6454
_cell_length_b 5.1222
_cell_length_c 5.3126
_cell_angle_alpha 87.03
_cell_angle_beta 64.16
_cell_angle_gamma 83.18
loop_
_atom_site_label
_atom_site_type_symbol
_atom_site_fract_x
_atom_site_fract_y
_atom_site_fract_z
_atom_site_occupancy
Na1 Na 0.0000 0.0000 0.0000 1
Ac1 Ac 0.3379 0.4996 0.3245 1
Al1 Al 0.6810 0.9988 0.6364 1
H1 H 0.0316 0.8524 0.6230 1
H2 H 0.3442 0.1462 0.6225 1
H3 H 0.4651 0.7753 0.8910 1
H4 H 0.6393 0.2206 0.8938 1
H5 H 0.7697 0.7522 0.3613 1
H6 H 0.8674 0.2467 0.3627 1
```

---

AcAl2SiH2: simulated X-ray powder pattern (λ = 1.5418 Å (Cu Kα)), based on the PBE geometry in Alexandria.
Neutral-atom scattering factors, no anomalous dispersion.

Largest 12 diffraction maxima, most intense first, 15° ≤ 2θ ≤ 90°:
two_theta  I (rel.)
22.87  100
22.71  100
15.31  80
35.06  65
31.50  64
31.87  62
43.69  48
33.29  38
33.76  35
30.90  35
44.61  34
45.07  26

```
data_AcAl2SiH2
_chemical_formula_sum 'Ac2 Al4 Si2 H4'
_space_group_name_H-M_alt 'P 1'
_space_group_IT_number 1
_space_group_name_Hall 'P 1'
_cell_length_a 6.0283
_cell_length_b 5.7077
_cell_length_c 6.4820
_cell_angle_alpha 90.00
_cell_angle_beta 116.77
_cell_angle_gamma 90.00
loop_
_atom_site_label
_atom_site_type_symbol
_atom_site_fract_x
_atom_site_fract_y
_atom_site_fract_z
_atom_site_occupancy
Ac1 Ac 0.2421 0.2500 0.4885 1
Ac2 Ac 0.7579 0.7500 0.5115 1
Al1 Al 0.2546 0.5047 0.9865 1
Al2 Al 0.2546 0.9953 0.9865 1
Al3 Al 0.7454 0.0047 0.0135 1
Al4 Al 0.7454 0.4953 0.0135 1
Si1 Si 0.1377 0.7500 0.2613 1
Si2 Si 0.8623 0.2500 0.7387 1
H1 H 0.3824 0.2500 0.1857 1
H2 H 0.4457 0.2500 0.9038 1
H3 H 0.5543 0.7500 0.0962 1
H4 H 0.6176 0.7500 0.8143 1
```

---

Ac2HfAlS6: simulated X-ray powder pattern (λ = 1.5418 Å (Cu Kα)), based on the PBE geometry in Alexandria.
Neutral-atom scattering factors, no anomalous dispersion.

Largest 12 diffraction maxima, most intense first, 15° ≤ 2θ ≤ 90°:
two_theta  I (rel.)
25.87  100
26.04  99
36.93  73
46.10  52
26.29  47
25.47  41
45.35  39
18.26  32
37.14  31
32.24  28
45.03  28
60.29  22

```
data_Ac2HfAlS6
_chemical_formula_sum 'Ac2 Hf1 Al1 S6'
_space_group_name_H-M_alt 'P 1'
_space_group_IT_number 1
_space_group_name_Hall 'P 1'
_cell_length_a 6.8449
_cell_length_b 6.8449
_cell_length_c 6.9948
_cell_angle_alpha 120.29
_cell_angle_beta 120.29
_cell_angle_gamma 59.36
loop_
_atom_site_label
_atom_site_type_symbol
_atom_site_fract_x
_atom_site_fract_y
_atom_site_fract_z
_atom_site_occupancy
Ac1 Ac 0.2503 0.2503 0.2330 1
Ac2 Ac 0.7497 0.7497 0.7670 1
Hf1 Hf 0.5000 0.5000 0.0000 1
Al1 Al 0.0000 0.0000 0.5000 1
S1 S 0.1900 0.7014 0.2017 1
S2 S 0.2457 0.2457 0.6494 1
S3 S 0.2986 0.8100 0.7983 1
S4 S 0.7014 0.1900 0.2017 1
S5 S 0.7543 0.7543 0.3506 1
S6 S 0.8100 0.2986 0.7983 1
```

---

AcAlHg4: simulated X-ray powder pattern (λ = 1.5418 Å (Cu Kα)), based on the PBE geometry in Alexandria.
Neutral-atom scattering factors, no anomalous dispersion.

Largest 12 diffraction maxima, most intense first, 15° ≤ 2θ ≤ 90°:
two_theta  I (rel.)
34.93  100
38.64  52
29.21  37
27.06  36
67.54  30
51.54  29
32.77  25
21.94  24
63.36  22
89.39  19
55.79  18
21.68  16

```
data_AcAlHg4
_chemical_formula_sum 'Ac1 Al1 Hg4'
_space_group_name_H-M_alt 'P 1'
_space_group_IT_number 1
_space_group_name_Hall 'P 1'
_cell_length_a 4.6603
_cell_length_b 4.6603
_cell_length_c 8.1984
_cell_angle_alpha 90.00
_cell_angle_beta 90.00
_cell_angle_gamma 90.00
loop_
_atom_site_label
_atom_site_type_symbol
_atom_site_fract_x
_atom_site_fract_y
_atom_site_fract_z
_atom_site_occupancy
Ac1 Ac 0.0000 0.0000 0.0000 1
Al1 Al 0.5000 0.5000 0.5000 1
Hg1 Hg 0.0000 0.5000 0.2991 1
Hg2 Hg 0.0000 0.5000 0.7009 1
Hg3 Hg 0.5000 0.0000 0.2991 1
Hg4 Hg 0.5000 0.0000 0.7009 1
```

---

Ac2Al3Hg: simulated X-ray powder pattern (λ = 1.5418 Å (Cu Kα)), based on the PBE geometry in Alexandria.
Neutral-atom scattering factors, no anomalous dispersion.

Largest 12 diffraction maxima, most intense first, 15° ≤ 2θ ≤ 90°:
two_theta  I (rel.)
29.59  100
39.06  50
65.01  33
22.26  27
56.44  27
49.75  25
45.42  13
21.55  12
83.91  12
35.08  8
61.42  7
19.24  7

```
data_Ac2Al3Hg
_chemical_formula_sum 'Ac4 Al6 Hg2'
_space_group_name_H-M_alt 'P 1'
_space_group_IT_number 1
_space_group_name_Hall 'P 1'
_cell_length_a 9.2223
_cell_length_b 9.2201
_cell_length_c 6.5232
_cell_angle_alpha 69.30
_cell_angle_beta 69.27
_cell_angle_gamma 41.43
loop_
_atom_site_label
_atom_site_type_symbol
_atom_site_fract_x
_atom_site_fract_y
_atom_site_fract_z
_atom_site_occupancy
Ac1 Ac 0.2470 0.7530 0.7530 1
Ac2 Ac 0.2500 0.2500 0.2500 1
Ac3 Ac 0.7500 0.7500 0.7500 1
Ac4 Ac 0.7530 0.2470 0.2470 1
Al1 Al 0.1740 0.6625 0.3375 1
Al2 Al 0.3369 0.3369 0.6631 1
Al3 Al 0.3375 0.8260 0.1740 1
Al4 Al 0.6625 0.1740 0.8260 1
Al5 Al 0.6631 0.6631 0.3369 1
Al6 Al 0.8260 0.3375 0.6625 1
Hg1 Hg 0.1671 0.1671 0.8329 1
Hg2 Hg 0.8329 0.8329 0.1671 1
```

---

Ac2Al3Hg6: simulated X-ray powder pattern (λ = 1.5418 Å (Cu Kα)), based on the PBE geometry in Alexandria.
Neutral-atom scattering factors, no anomalous dispersion.

Largest 12 diffraction maxima, most intense first, 15° ≤ 2θ ≤ 90°:
two_theta  I (rel.)
28.63  100
38.17  63
62.32  31
32.94  26
37.50  24
54.55  17
51.25  15
87.84  13
59.28  12
43.57  12
63.20  11
24.75  9

```
data_Ac2Al3Hg6
_chemical_formula_sum 'Ac2 Al3 Hg6'
_space_group_name_H-M_alt 'P 1'
_space_group_IT_number 1
_space_group_name_Hall 'P 1'
_cell_length_a 8.3084
_cell_length_b 8.3084
_cell_length_c 4.7199
_cell_angle_alpha 90.00
_cell_angle_beta 90.00
_cell_angle_gamma 120.00
loop_
_atom_site_label
_atom_site_type_symbol
_atom_site_fract_x
_atom_site_fract_y
_atom_site_fract_z
_atom_site_occupancy
Ac1 Ac 0.3333 0.6667 0.0000 1
Ac2 Ac 0.6667 0.3333 0.0000 1
Al1 Al 0.0000 0.3502 0.5000 1
Al2 Al 0.3502 0.0000 0.5000 1
Al3 Al 0.6498 0.6498 0.5000 1
Hg1 Hg 0.0000 0.2042 0.0000 1
Hg2 Hg 0.0000 0.6723 0.5000 1
Hg3 Hg 0.2042 0.0000 0.0000 1
Hg4 Hg 0.3277 0.3277 0.5000 1
Hg5 Hg 0.6723 0.0000 0.5000 1
Hg6 Hg 0.7958 0.7958 0.0000 1
```

---

Ac5AlHg2: simulated X-ray powder pattern (λ = 1.5418 Å (Cu Kα)), based on the PBE geometry in Alexandria.
Neutral-atom scattering factors, no anomalous dispersion.

Largest 12 diffraction maxima, most intense first, 15° ≤ 2θ ≤ 90°:
two_theta  I (rel.)
28.82  100
34.10  30
31.96  21
47.43  19
30.25  18
55.03  15
47.95  13
62.39  11
23.88  11
51.45  6
30.41  6
46.33  6

```
data_Ac5AlHg2
_chemical_formula_sum 'Ac10 Al2 Hg4'
_space_group_name_H-M_alt 'P 1'
_space_group_IT_number 1
_space_group_name_Hall 'P 1'
_cell_length_a 10.2548
_cell_length_b 10.2548
_cell_length_c 10.2548
_cell_angle_alpha 132.17
_cell_angle_beta 132.17
_cell_angle_gamma 69.97
loop_
_atom_site_label
_atom_site_type_symbol
_atom_site_fract_x
_atom_site_fract_y
_atom_site_fract_z
_atom_site_occupancy
Ac1 Ac 0.0000 0.0000 0.0000 1
Ac2 Ac 0.0149 0.5149 0.8365 1
Ac3 Ac 0.1784 0.0149 0.5000 1
Ac4 Ac 0.3216 0.8216 0.8365 1
Ac5 Ac 0.4851 0.3216 0.5000 1
Ac6 Ac 0.5000 0.5000 0.0000 1
Ac7 Ac 0.5149 0.6784 0.5000 1
Ac8 Ac 0.6784 0.1784 0.1635 1
Ac9 Ac 0.8216 0.9851 0.5000 1
Ac10 Ac 0.9851 0.4851 0.1635 1
Al1 Al 0.2500 0.2500 0.0000 1
Al2 Al 0.7500 0.7500 0.0000 1
Hg1 Hg 0.1266 0.3734 0.5000 1
Hg2 Hg 0.3734 0.8734 0.2469 1
Hg3 Hg 0.6266 0.1266 0.7531 1
Hg4 Hg 0.8734 0.6266 0.5000 1
```

---

Ac3MgAl2Hg6: simulated X-ray powder pattern (λ = 1.5418 Å (Cu Kα)), based on the PBE geometry in Alexandria.
Neutral-atom scattering factors, no anomalous dispersion.

Largest 12 diffraction maxima, most intense first, 15° ≤ 2θ ≤ 90°:
two_theta  I (rel.)
32.36  100
36.90  52
19.96  24
30.14  22
54.60  22
43.57  21
18.21  20
51.73  18
63.63  17
64.91  16
89.81  14
33.41  13

```
data_Ac3MgAl2Hg6
_chemical_formula_sum 'Ac3 Mg1 Al2 Hg6'
_space_group_name_H-M_alt 'P 1'
_space_group_IT_number 1
_space_group_name_Hall 'P 1'
_cell_length_a 6.7235
_cell_length_b 6.7235
_cell_length_c 8.8951
_cell_angle_alpha 90.00
_cell_angle_beta 90.00
_cell_angle_gamma 120.00
loop_
_atom_site_label
_atom_site_type_symbol
_atom_site_fract_x
_atom_site_fract_y
_atom_site_fract_z
_atom_site_occupancy
Ac1 Ac 0.0000 0.0000 0.0000 1
Ac2 Ac 0.3333 0.6667 0.6464 1
Ac3 Ac 0.6667 0.3333 0.3536 1
Mg1 Mg 0.0000 0.0000 0.5000 1
Al1 Al 0.3333 0.6667 0.0322 1
Al2 Al 0.6667 0.3333 0.9678 1
Hg1 Hg 0.1800 0.3599 0.2864 1
Hg2 Hg 0.1800 0.8200 0.2864 1
Hg3 Hg 0.3599 0.1800 0.7136 1
Hg4 Hg 0.6401 0.8200 0.2864 1
Hg5 Hg 0.8200 0.1800 0.7136 1
Hg6 Hg 0.8200 0.6401 0.7136 1
```

---

Ac2Al4Hg3Pb: simulated X-ray powder pattern (λ = 1.5418 Å (Cu Kα)), based on the PBE geometry in Alexandria.
Neutral-atom scattering factors, no anomalous dispersion.

Largest 12 diffraction maxima, most intense first, 15° ≤ 2θ ≤ 90°:
two_theta  I (rel.)
31.12  100
30.68  71
37.83  67
27.72  64
49.46  38
64.16  26
45.19  25
24.13  25
54.57  24
60.36  22
45.38  19
24.68  19

```
data_Ac2Al4Hg3Pb
_chemical_formula_sum 'Ac2 Al4 Hg3 Pb1'
_space_group_name_H-M_alt 'P 1'
_space_group_IT_number 1
_space_group_name_Hall 'P 1'
_cell_length_a 4.7566
_cell_length_b 4.7566
_cell_length_c 11.0639
_cell_angle_alpha 90.00
_cell_angle_beta 90.00
_cell_angle_gamma 90.00
loop_
_atom_site_label
_atom_site_type_symbol
_atom_site_fract_x
_atom_site_fract_y
_atom_site_fract_z
_atom_site_occupancy
Ac1 Ac 0.0000 0.5000 0.2407 1
Ac2 Ac 0.5000 0.0000 0.7593 1
Al1 Al 0.0000 0.0000 0.0000 1
Al2 Al 0.0000 0.5000 0.6401 1
Al3 Al 0.5000 0.0000 0.3599 1
Al4 Al 0.5000 0.5000 0.0000 1
Hg1 Hg 0.0000 0.5000 0.8756 1
Hg2 Hg 0.5000 0.0000 0.1244 1
Hg3 Hg 0.5000 0.5000 0.5000 1
Pb1 Pb 0.0000 0.0000 0.5000 1
```

---

Ac3AlHg2Pd6: simulated X-ray powder pattern (λ = 1.5418 Å (Cu Kα)), based on the PBE geometry in Alexandria.
Neutral-atom scattering factors, no anomalous dispersion.

Largest 12 diffraction maxima, most intense first, 15° ≤ 2θ ≤ 90°:
two_theta  I (rel.)
36.22  100
36.38  98
30.15  95
29.57  84
40.39  80
62.70  54
42.74  53
26.23  44
70.82  42
59.81  39
53.59  35
57.58  27

```
data_Ac3AlHg2Pd6
_chemical_formula_sum 'Ac3 Al1 Hg2 Pd6'
_space_group_name_H-M_alt 'P 1'
_space_group_IT_number 1
_space_group_name_Hall 'P 1'
_cell_length_a 5.9279
_cell_length_b 5.9279
_cell_length_c 9.0619
_cell_angle_alpha 90.00
_cell_angle_beta 90.00
_cell_angle_gamma 120.00
loop_
_atom_site_label
_atom_site_type_symbol
_atom_site_fract_x
_atom_site_fract_y
_atom_site_fract_z
_atom_site_occupancy
Ac1 Ac 0.0000 0.0000 0.0000 1
Ac2 Ac 0.3333 0.6667 0.6271 1
Ac3 Ac 0.6667 0.3333 0.3729 1
Al1 Al 0.0000 0.0000 0.5000 1
Hg1 Hg 0.3333 0.6667 0.0191 1
Hg2 Hg 0.6667 0.3333 0.9809 1
Pd1 Pd 0.1720 0.3441 0.2955 1
Pd2 Pd 0.1720 0.8280 0.2955 1
Pd3 Pd 0.3441 0.1720 0.7045 1
Pd4 Pd 0.6559 0.8280 0.2955 1
Pd5 Pd 0.8280 0.1720 0.7045 1
Pd6 Pd 0.8280 0.6559 0.7045 1
```

---

Ac2AlSiHg: simulated X-ray powder pattern (λ = 1.5418 Å (Cu Kα)), based on the PBE geometry in Alexandria.
Neutral-atom scattering factors, no anomalous dispersion.

Largest 12 diffraction maxima, most intense first, 15° ≤ 2θ ≤ 90°:
two_theta  I (rel.)
31.55  100
31.01  90
21.75  70
38.77  64
29.21  44
31.11  44
37.85  42
22.25  41
24.58  34
32.18  28
50.47  28
25.23  27

```
data_Ac2AlSiHg
_chemical_formula_sum 'Ac4 Al2 Si2 Hg2'
_space_group_name_H-M_alt 'P 1'
_space_group_IT_number 1
_space_group_name_Hall 'P 1'
_cell_length_a 7.9888
_cell_length_b 4.7543
_cell_length_c 8.0127
_cell_angle_alpha 90.00
_cell_angle_beta 91.89
_cell_angle_gamma 90.00
loop_
_atom_site_label
_atom_site_type_symbol
_atom_site_fract_x
_atom_site_fract_y
_atom_site_fract_z
_atom_site_occupancy
Ac1 Ac 0.2071 0.2500 0.9997 1
Ac2 Ac 0.2274 0.2500 0.4906 1
Ac3 Ac 0.7726 0.7500 0.5094 1
Ac4 Ac 0.7929 0.7500 0.0003 1
Al1 Al 0.4164 0.7500 0.7748 1
Al2 Al 0.5836 0.2500 0.2252 1
Si1 Si 0.1080 0.7500 0.7390 1
Si2 Si 0.8920 0.2500 0.2610 1
Hg1 Hg 0.4104 0.7500 0.2278 1
Hg2 Hg 0.5896 0.2500 0.7722 1
```

---

Ac2AlSnHg6: simulated X-ray powder pattern (λ = 1.5418 Å (Cu Kα)), based on the PBE geometry in Alexandria.
Neutral-atom scattering factors, no anomalous dispersion.

Largest 12 diffraction maxima, most intense first, 15° ≤ 2θ ≤ 90°:
two_theta  I (rel.)
30.17  100
29.37  81
37.87  55
32.72  50
37.32  45
50.89  28
46.36  21
34.09  16
55.88  13
32.27  12
25.31  12
79.54  12

```
data_Ac2AlSnHg6
_chemical_formula_sum 'Ac4 Al2 Sn2 Hg12'
_space_group_name_H-M_alt 'P 1'
_space_group_IT_number 1
_space_group_name_Hall 'P 1'
_cell_length_a 7.9141
_cell_length_b 9.5067
_cell_length_c 7.5765
_cell_angle_alpha 90.00
_cell_angle_beta 90.00
_cell_angle_gamma 90.00
loop_
_atom_site_label
_atom_site_type_symbol
_atom_site_fract_x
_atom_site_fract_y
_atom_site_fract_z
_atom_site_occupancy
Ac1 Ac 0.2500 0.0134 0.2435 1
Ac2 Ac 0.2500 0.4866 0.2435 1
Ac3 Ac 0.7500 0.5134 0.7565 1
Ac4 Ac 0.7500 0.9866 0.7565 1
Al1 Al 0.2500 0.2500 0.5746 1
Al2 Al 0.7500 0.7500 0.4254 1
Sn1 Sn 0.2500 0.7500 0.9207 1
Sn2 Sn 0.7500 0.2500 0.0793 1
Hg1 Hg 0.0621 0.7500 0.5315 1
Hg2 Hg 0.0663 0.2500 0.9122 1
Hg3 Hg 0.2500 0.5025 0.7141 1
Hg4 Hg 0.2500 0.9975 0.7141 1
Hg5 Hg 0.4337 0.2500 0.9122 1
Hg6 Hg 0.4379 0.7500 0.5315 1
Hg7 Hg 0.5621 0.2500 0.4685 1
Hg8 Hg 0.5663 0.7500 0.0878 1
Hg9 Hg 0.7500 0.0025 0.2859 1
Hg10 Hg 0.7500 0.4975 0.2859 1
Hg11 Hg 0.9337 0.7500 0.0878 1
Hg12 Hg 0.9379 0.2500 0.4685 1
```

---

- Which formula does entry 7 have?
  Ac5AlHg2